This entry pairs a crystal structure of NaNiF6 with its computed powder diffractogram. Radiation: Cu Ka. Structure: the GGA+U geometry in Alexandria.
Intensities are scaled so that the largest is 100.

Structure:
Lattice parameters (Å, degrees): 8.1086 6.9174 8.0392 90.00 92.37 90.00
Space group C2/c (No. 15)
One atom of each set of equivalent atoms:
1 Na 0.0000 0.0283 0.2500 (multiplicity 4)
2 Ni 0.2500 0.2500 0.0000 (multiplicity 4)
3 F 0.0622 0.3283 0.0871 (multiplicity 8)
4 F 0.1646 0.2727 0.7922 (multiplicity 8)
5 F 0.1720 0.0075 0.0069 (multiplicity 8)

The 10 most intense peaks (10 to 90 degrees two-theta), by intensity:
| 2θ/deg | d (Å) | intensity |
| --- | --- | --- |
| 20.43 | 4.348 | 100 |
| 19.93 | 4.456 | 98 |
| 22.13 | 4.016 | 22 |
| 37.03 | 2.427 | 20 |
| 42.15 | 2.144 | 17 |
| 32.02 | 2.795 | 17 |
| 38.12 | 2.361 | 17 |
| 56.68 | 1.624 | 16 |
| 34.09 | 2.630 | 16 |
| 21.94 | 4.051 | 15 |